Structure and simulated powder X-ray diffraction pattern of Li3V3CrO8 (a cell relaxed with PBE+U; Cu Kα).
Lines closer than 0.1° are merged.

Largest 8 diffraction maxima, in order of falling intensity, 2θ from 5° to 70°:
d (Å)	I/Imax
4.915	100
2.121	24
2.545	24
2.113	24
2.104	23
1.486	13
1.501	12
2.531	12

Crystal structure
a = 5.217 Å, b = 5.973 Å, c = 10.708 Å
α = 73.81°, β = 75.97°, γ = 73.11°
Fractional coordinates of all 30 atoms:
1 Li 0.000 0.000 0.000
2 Li 0.000 0.244 0.503
3 Li 0.002 0.375 0.751
4 Li 0.004 0.852 0.753
5 Li 0.008 0.113 0.247
6 Li 0.996 0.617 0.253
7 V 0.481 0.435 0.378
8 V 0.494 0.669 0.883
9 V 0.499 0.924 0.379
10 V 0.504 0.298 0.124
11 V 0.515 0.047 0.620
12 V 0.524 0.796 0.122
13 Cr 0.494 0.179 0.874
14 Cr 0.502 0.550 0.627
15 O 0.267 0.263 0.314
16 O 0.283 0.011 0.808
17 O 0.283 0.373 0.570
18 O 0.283 0.647 0.054
19 O 0.284 0.776 0.302
20 O 0.285 0.518 0.809
21 O 0.286 0.891 0.571
22 O 0.293 0.130 0.061
23 O 0.710 0.711 0.702
24 O 0.711 0.587 0.440
25 O 0.717 0.338 0.933
26 O 0.717 0.458 0.196
27 O 0.718 0.092 0.449
28 O 0.720 0.846 0.932
29 O 0.725 0.211 0.687
30 O 0.739 0.965 0.190

=====

Structure and simulated powder X-ray diffraction pattern of Li4V3CrO8 (a cell relaxed with PBE+U; Cu Kα).
Lines closer than 0.1° are merged.

Largest 8 diffraction maxima, in order of falling intensity, 2θ from 5° to 70°:
d (Å)	I/Imax
4.885	100
2.112	57
2.130	30
2.550	26
1.501	16
1.493	15
1.498	15
2.568	14

Crystal structure
a = 5.197 Å, b = 5.972 Å, c = 5.210 Å
α = 90.00°, β = 109.93°, γ = 90.00°
Fractional coordinates of all 16 atoms:
1 Li 0.000 0.000 0.000
2 Li 0.000 0.248 0.500
3 Li 0.000 0.500 0.000
4 Li 0.000 0.752 0.500
5 V 0.500 0.250 0.000
6 V 0.500 0.500 0.500
7 V 0.500 0.750 0.000
8 Cr 0.500 0.000 0.500
9 O 0.271 0.247 0.261
10 O 0.271 0.753 0.261
11 O 0.275 0.500 0.758
12 O 0.278 0.000 0.757
13 O 0.722 0.000 0.243
14 O 0.725 0.500 0.242
15 O 0.729 0.247 0.739
16 O 0.729 0.753 0.739

=====

Structure and simulated powder X-ray diffraction pattern of Li3VCr3O8 (a cell relaxed with PBE+U; Cu Kα).
Lines closer than 0.1° are merged.

Largest 8 diffraction maxima, in order of falling intensity, 2θ from 5° to 70°:
d (Å)	I/Imax
4.855	100
2.098	47
2.110	24
1.485	19
2.535	16
1.490	13
2.530	12
2.543	9

Crystal structure
a = 5.942 Å, b = 5.942 Å, c = 10.340 Å
α = 107.01°, β = 107.01°, γ = 59.86°
Fractional coordinates of all 30 atoms:
1 Li 0.000 0.500 0.750
2 Li 0.249 0.249 0.000
3 Li 0.250 0.251 0.501
4 Li 0.500 0.000 0.250
5 Li 0.749 0.750 0.499
6 Li 0.751 0.751 0.000
7 V 0.000 0.499 0.250
8 V 0.501 0.000 0.750
9 Cr 0.000 0.000 0.251
10 Cr 0.000 0.000 0.749
11 Cr 0.247 0.753 0.500
12 Cr 0.500 0.500 0.249
13 Cr 0.500 0.500 0.751
14 Cr 0.748 0.252 0.000
15 O 0.099 0.151 0.134
16 O 0.125 0.624 0.141
17 O 0.138 0.637 0.628
18 O 0.151 0.102 0.634
19 O 0.348 0.402 0.366
20 O 0.363 0.862 0.372
21 O 0.376 0.875 0.859
22 O 0.399 0.348 0.866
23 O 0.598 0.652 0.634
24 O 0.625 0.125 0.641
25 O 0.638 0.136 0.128
26 O 0.652 0.601 0.134
27 O 0.849 0.901 0.866
28 O 0.864 0.362 0.872
29 O 0.875 0.375 0.359
30 O 0.898 0.849 0.366

=====

Structure and simulated powder X-ray diffraction pattern of Li3V3CrO8 (a cell relaxed with PBE+U; Cu Kα).
Lines closer than 0.1° are merged.

Largest 8 diffraction maxima, in order of falling intensity, 2θ from 5° to 70°:
d (Å)	I/Imax
3.871	100
6.237	98
5.913	76
2.048	73
2.057	67
3.119	58
2.079	56
2.815	40

Crystal structure
a = 6.506 Å, b = 6.506 Å, c = 6.514 Å
α = 105.87°, β = 105.87°, γ = 36.70°
Fractional coordinates of all 15 atoms:
1 Li 0.000 0.000 0.000
2 Li 0.119 0.119 0.726
3 Li 0.242 0.242 0.370
4 V 0.353 0.353 0.059
5 V 0.456 0.456 0.651
6 V 0.668 0.668 0.067
7 Cr 0.780 0.780 0.679
8 O 0.179 0.179 0.054
9 O 0.293 0.293 0.699
10 O 0.403 0.403 0.355
11 O 0.508 0.508 0.997
12 O 0.627 0.627 0.733
13 O 0.714 0.714 0.354
14 O 0.827 0.827 0.006
15 O 0.942 0.942 0.684

=====

Structure and simulated powder X-ray diffraction pattern of LiVCrO4 (a cell relaxed with PBE+U; Cu Kα).
Lines closer than 0.1° are merged.

Largest 8 diffraction maxima, in order of falling intensity, 2θ from 5° to 70°:
d (Å)	I/Imax
2.558	100
2.450	63
1.461	57
2.961	56
2.922	53
4.845	43
1.620	30
4.036	24

Crystal structure
a = 5.851 Å, b = 5.851 Å, c = 5.851 Å
α = 119.18°, β = 117.64°, γ = 92.78°
Fractional coordinates of all 14 atoms:
1 Li 0.500 0.000 0.000
2 Li 0.500 0.500 0.500
3 V 0.117 0.367 0.750
4 V 0.883 0.633 0.250
5 Cr 0.000 0.000 0.000
6 Cr 0.500 0.000 0.500
7 O 0.246 0.225 0.479
8 O 0.246 0.767 0.021
9 O 0.250 0.749 0.501
10 O 0.252 0.251 0.001
11 O 0.748 0.749 0.999
12 O 0.750 0.251 0.499
13 O 0.754 0.233 0.979
14 O 0.754 0.775 0.521

=====

Structure and simulated powder X-ray diffraction pattern of Li2V2CrO6 (a cell relaxed with PBE+U; Cu Kα).
Lines closer than 0.1° are merged.

Largest 8 diffraction maxima, in order of falling intensity, 2θ from 5° to 70°:
d (Å)	I/Imax
4.935	100
2.124	45
2.543	22
2.092	21
1.485	12
2.524	11
1.496	11
1.643	11

Crystal structure
a = 7.865 Å, b = 7.865 Å, c = 6.062 Å
α = 101.61°, β = 101.61°, γ = 69.22°
Fractional coordinates of all 33 atoms:
1 Li 0.167 0.503 0.661
2 Li 0.171 0.829 0.000
3 Li 0.497 0.833 0.339
4 Li 0.503 0.167 0.661
5 Li 0.829 0.171 0.000
6 Li 0.833 0.497 0.339
7 V 0.166 0.166 0.829
8 V 0.171 0.494 0.164
9 V 0.494 0.171 0.164
10 V 0.506 0.829 0.836
11 V 0.829 0.506 0.836
12 V 0.834 0.834 0.171
13 Cr 0.166 0.834 0.500
14 Cr 0.500 0.500 0.500
15 Cr 0.834 0.166 0.500
16 O 0.000 0.340 0.054
17 O 0.000 0.660 0.946
18 O 0.008 0.667 0.390
19 O 0.016 0.016 0.742
20 O 0.318 0.318 0.912
21 O 0.322 0.665 0.274
22 O 0.333 0.992 0.610
23 O 0.335 0.678 0.726
24 O 0.340 0.000 0.054
25 O 0.341 0.341 0.397
26 O 0.659 0.659 0.603
27 O 0.660 0.000 0.946
28 O 0.665 0.322 0.274
29 O 0.667 0.008 0.390
30 O 0.678 0.335 0.726
31 O 0.682 0.682 0.088
32 O 0.984 0.984 0.258
33 O 0.992 0.333 0.610

=====

Structure and simulated powder X-ray diffraction pattern of Li3VCr3O8 (a cell relaxed with PBE+U; Cu Kα).
Lines closer than 0.1° are merged.

Largest 8 diffraction maxima, in order of falling intensity, 2θ from 5° to 70°:
d (Å)	I/Imax
4.908	100
2.102	46
2.525	24
2.110	23
1.481	19
2.531	12
1.497	12
1.625	9

Crystal structure
a = 5.987 Å, b = 5.987 Å, c = 10.269 Å
α = 106.80°, β = 106.80°, γ = 59.24°
Fractional coordinates of all 30 atoms:
1 Li 0.000 0.000 0.000
2 Li 0.250 0.750 0.249
3 Li 0.250 0.750 0.749
4 Li 0.500 0.500 0.499
5 Li 0.750 0.250 0.249
6 Li 0.750 0.250 0.749
7 V 0.250 0.250 0.250
8 V 0.750 0.750 0.749
9 Cr 0.000 0.499 0.000
10 Cr 0.000 0.499 0.500
11 Cr 0.249 0.249 0.748
12 Cr 0.499 0.000 0.000
13 Cr 0.499 0.000 0.500
14 Cr 0.749 0.749 0.248
15 O 0.097 0.618 0.866
16 O 0.116 0.598 0.365
17 O 0.139 0.139 0.878
18 O 0.140 0.140 0.375
19 O 0.359 0.359 0.124
20 O 0.362 0.362 0.620
21 O 0.381 0.903 0.134
22 O 0.402 0.879 0.632
23 O 0.598 0.116 0.365
24 O 0.618 0.097 0.866
25 O 0.640 0.640 0.379
26 O 0.642 0.642 0.875
27 O 0.858 0.858 0.623
28 O 0.862 0.862 0.120
29 O 0.879 0.402 0.632
30 O 0.903 0.381 0.134

=====

Structure and simulated powder X-ray diffraction pattern of Li2VCr3O8 (a cell relaxed with PBE+U; Cu Kα).
Lines closer than 0.1° are merged.

Largest 8 diffraction maxima, in order of falling intensity, 2θ from 5° to 70°:
d (Å)	I/Imax
4.925	100
2.122	39
2.534	21
2.082	18
2.520	11
1.642	11
1.483	10
1.481	5

Crystal structure
a = 5.240 Å, b = 7.820 Å, c = 7.842 Å
α = 94.63°, β = 95.13°, γ = 109.27°
Fractional coordinates of all 28 atoms:
1 Li 0.000 0.000 0.000
2 Li 0.240 0.229 0.754
3 Li 0.498 0.504 0.520
4 Li 0.748 0.755 0.267
5 V 0.191 0.677 0.062
6 V 0.929 0.418 0.318
7 Cr 0.036 0.563 0.690
8 Cr 0.288 0.810 0.443
9 Cr 0.440 0.928 0.815
10 Cr 0.531 0.058 0.194
11 Cr 0.687 0.174 0.570
12 Cr 0.780 0.311 0.942
13 O 0.062 0.770 0.872
14 O 0.066 0.356 0.525
15 O 0.155 0.882 0.211
16 O 0.166 0.477 0.912
17 O 0.297 0.591 0.280
18 O 0.319 0.024 0.611
19 O 0.404 0.713 0.649
20 O 0.415 0.138 0.971
21 O 0.544 0.834 0.047
22 O 0.578 0.285 0.356
23 O 0.654 0.963 0.399
24 O 0.666 0.389 0.721
25 O 0.816 0.101 0.794
26 O 0.830 0.531 0.120
27 O 0.904 0.629 0.463
28 O 0.915 0.225 0.162

=====

Structure and simulated powder X-ray diffraction pattern of Li4V3Cr3O12 (a cell relaxed with PBE+U; Cu Kα).
Lines closer than 0.1° are merged.

Largest 8 diffraction maxima, in order of falling intensity, 2θ from 5° to 70°:
d (Å)	I/Imax
4.923	100
2.546	24
2.118	23
2.119	23
2.098	22
1.498	12
1.502	11
2.515	11

Crystal structure
a = 5.175 Å, b = 6.003 Å, c = 7.877 Å
α = 78.17°, β = 77.92°, γ = 72.89°
Fractional coordinates of all 22 atoms:
1 Li 0.002 0.166 0.335
2 Li 0.496 0.334 0.165
3 Li 0.504 0.666 0.835
4 Li 0.998 0.834 0.665
5 V 0.000 0.000 0.000
6 V 0.001 0.330 0.674
7 V 0.999 0.670 0.326
8 Cr 0.496 0.169 0.833
9 Cr 0.500 0.500 0.500
10 Cr 0.504 0.831 0.167
11 O 0.225 0.369 0.422
12 O 0.229 0.027 0.755
13 O 0.248 0.810 0.402
14 O 0.250 0.683 0.097
15 O 0.259 0.484 0.732
16 O 0.265 0.138 0.075
17 O 0.735 0.862 0.925
18 O 0.741 0.516 0.268
19 O 0.750 0.317 0.903
20 O 0.752 0.190 0.598
21 O 0.771 0.973 0.245
22 O 0.775 0.631 0.578